Computed powder diffractogram
Compound: Nb4AgBi5O18
Radiation: Cu Kα, 1.54184 Å
Structure: a GGA-PBE-relaxed structure
Intensities are scaled so that the largest is 100.

```
data_Nb4AgBi5O18
_chemical_formula_sum 'Nb4 Ag1 Bi5 O18'
_cell_length_a 12.9906
_cell_length_b 12.9906
_cell_length_c 5.6561
_cell_angle_alpha 90.16
_cell_angle_beta 90.16
_cell_angle_gamma 155.21
_space_group_name_H-M_alt 'P 1'
_space_group_IT_number 1
loop_
_space_group_symop_operation_xyz
'x,y,z'
loop_
_atom_site_label
_atom_site_fract_x
_atom_site_fract_y
_atom_site_fract_z
_atom_site_occupancy
Nb1 0.0824 0.9176 0.0000 1
Nb2 0.4236 0.5914 0.4907 1
Nb3 0.5914 0.4236 0.4907 1
Nb4 0.9176 0.0824 0.0000 1
Ag1 0.0034 0.0034 0.4866 1
Bi1 0.2207 0.8201 0.4086 1
Bi2 0.2583 0.6582 0.9092 1
Bi3 0.5104 0.5104 0.9473 1
Bi4 0.6582 0.2583 0.9092 1
Bi5 0.8201 0.2207 0.4086 1
O1 0.0051 0.5064 0.1925 1
O2 0.1473 0.2734 0.7511 1
O3 0.2237 0.3549 0.2364 1
O4 0.2280 0.9173 0.0170 1
O5 0.2532 0.5624 0.5355 1
O6 0.2734 0.1473 0.7511 1
O7 0.3549 0.2237 0.2364 1
O8 0.4787 0.9753 0.6908 1
O9 0.5064 0.0051 0.1925 1
O10 0.5624 0.2532 0.5355 1
O11 0.5660 0.5660 0.5522 1
O12 0.6079 0.7775 0.8241 1
O13 0.6923 0.8814 0.3144 1
O14 0.7775 0.6079 0.8241 1
O15 0.8814 0.6923 0.3144 1
O16 0.9104 0.9104 0.0576 1
O17 0.9173 0.2280 0.0170 1
O18 0.9753 0.4787 0.6908 1
```

Main lines, by angle (15 to 90 degrees two-theta):
28.43°, intensity 100
28.66°, intensity 94
31.64°, intensity 32
32.11°, intensity 33
35.37°, intensity 23
45.39°, intensity 17
46.01°, intensity 17
48.18°, intensity 21
48.51°, intensity 21
54.86°, intensity 17